[1]
# TbPaTe2N
Theoretical X-ray powder pattern, Cu Ka. Input: the GGA-PBE geometry in Alexandria.
No peak broadening, texture or thermal motion is included.

Peak list (10 most intense, 2θ from 5° to 70°, sorted by position)
Position (°2θ)  d_spacing  I_rel
11.98  7.385  19
24.10  3.692  16
28.29  3.155  26
30.77  2.905  98
32.60  2.746  100
39.47  2.283  22
44.08  2.054  40
48.47  1.878  15
55.89  1.645  44
64.10  1.453  13

```
10
Lattice="4.109 0.000 0.000 0.000 4.109 0.000 0.000 0.000 14.769" Properties=species:S:1:pos:R:3 pbc="T T T"
Tb 1.027 1.027 1.284
Tb 3.082 3.082 13.485
Pa 1.027 1.027 8.482
Pa 3.082 3.082 6.288
Te 1.027 1.027 4.579
Te 1.027 1.027 12.893
Te 3.082 3.082 1.876
Te 3.082 3.082 10.191
N 1.027 3.082 7.385
N 3.082 1.027 7.385
```

---

[2]
# MnBe3B12
Theoretical X-ray powder pattern, Cu Ka. Input: the GGA-PBE geometry in Alexandria.
No peak broadening, texture or thermal motion is included.

Peak list (10 most intense, 2θ from 5° to 70°, sorted by position)
Position (°2θ)  d_spacing  I_rel
18.16  4.884  100
18.60  4.770  45
23.90  3.724  73
29.86  2.992  17
30.47  2.933  35
36.74  2.446  30
42.03  2.150  26
43.91  2.062  16
44.79  2.024  18
45.16  2.008  15

```
32
Lattice="5.283 -3.720 0.000 5.283 3.720 0.000 -2.849 0.000 5.984" Properties=species:S:1:pos:R:3 pbc="T T T"
Mn 3.858 1.864 2.992
Mn 5.283 -1.864 0.000
Be -0.889 0.378 3.197
Be 0.536 -0.378 0.205
Be 3.450 1.192 0.830
Be 2.025 -1.192 3.822
Be 4.872 0.341 4.364
Be 6.296 -0.341 1.372
B 1.513 1.860 2.935
B -0.884 0.892 5.254
B 2.172 2.666 4.268
B 0.674 0.773 1.862
B -0.750 -0.773 4.854
B 2.110 0.986 4.273
B 0.541 -0.892 2.262
B 2.199 0.329 2.682
B 3.361 1.726 5.123
B 5.359 1.478 1.336
B 0.774 -0.329 5.674
B 2.326 0.449 5.927
B 0.088 -1.860 5.927
B 3.535 -0.986 1.281
B 6.024 1.224 2.892
B 3.751 -0.449 2.935
B 3.597 -2.666 1.276
B 6.894 0.604 4.267
B 3.934 -1.478 4.328
B 4.785 -1.726 2.131
B 6.122 0.296 5.791
B 4.599 -1.224 5.884
B 7.547 -0.296 2.800
B 8.319 -0.604 1.275
```

---

[3]
# CsPrGe2Br8
Theoretical X-ray powder pattern, Cu Ka. Input: the GGA-PBE geometry in Alexandria.
No peak broadening, texture or thermal motion is included.

Peak list (10 most intense, 2θ from 5° to 70°, sorted by position)
Position (°2θ)  d_spacing  I_rel
8.50  10.400  43
16.89  5.248  49
18.81  4.718  33
21.31  4.169  38
21.86  4.065  22
24.58  3.622  31
26.38  3.379  100
32.79  2.731  32
34.18  2.623  41
38.13  2.360  25

```
12
Lattice="6.775 0.000 0.000 -0.777 7.359 0.000 -0.188 -0.805 10.400" Properties=species:S:1:pos:R:3 pbc="T T T"
Cs 0.000 0.000 0.000
Pr -0.094 -0.403 5.200
Ge 2.526 3.780 3.056
Ge 3.285 2.774 7.344
Br 1.390 1.062 3.191
Br 0.970 4.614 4.964
Br 1.221 4.370 1.073
Br 1.615 0.502 7.417
Br 4.196 6.052 2.983
Br 4.590 2.184 9.327
Br 4.841 1.940 5.436
Br 4.420 5.492 7.208
```

---

[4]
# PuThH
Theoretical X-ray powder pattern, Cu Ka. Input: the GGA-PBE geometry in Alexandria.
No peak broadening, texture or thermal motion is included.

Peak list (10 most intense, 2θ from 5° to 70°, sorted by position)
Position (°2θ)  d_spacing  I_rel
27.81  3.208  100
31.54  2.836  39
35.84  2.506  78
38.05  2.365  51
50.22  1.817  44
54.90  1.672  18
62.64  1.483  22
63.81  1.459  20
64.70  1.441  21
67.31  1.391  26

```
6
Lattice="3.345 0.000 0.000 0.000 3.345 0.000 0.000 0.000 11.346" Properties=species:S:1:pos:R:3 pbc="T T T"
Pu 0.000 0.000 0.000
Pu 1.672 1.672 5.673
Th 0.000 0.000 8.303
Th 1.672 1.672 2.630
H 0.000 0.000 5.990
H 1.672 1.672 0.317
```

---

[5]
# TaSnN
Theoretical X-ray powder pattern, Cu Ka. Input: the GGA-PBE geometry in Alexandria.
No peak broadening, texture or thermal motion is included.

Peak list (10 most intense, 2θ from 5° to 70°, sorted by position)
Position (°2θ)  d_spacing  I_rel
26.95  3.308  77
30.63  2.918  17
32.46  2.758  100
35.58  2.523  57
36.97  2.432  38
40.27  2.240  52
42.21  2.141  18
50.20  1.817  23
55.01  1.669  16
58.14  1.587  27

```
12
Lattice="0.000 6.698 9.727 1.734 0.000 9.727 1.734 6.698 0.000" Properties=species:S:1:pos:R:3 pbc="T T T"
Ta 0.433 1.675 0.134
Ta 0.433 1.675 4.730
Ta 3.034 11.722 14.724
Ta 3.034 11.722 19.321
Sn 1.300 0.400 7.295
Sn 2.167 3.749 12.159
Sn 1.300 9.648 7.295
Sn 2.167 12.997 12.159
N 1.300 5.024 5.826
N 1.300 5.024 8.765
N 2.167 8.373 10.689
N 2.167 8.373 13.629
```

---

[6]
# K2BPbO4
Theoretical X-ray powder pattern, Cu Ka. Input: the GGA-PBE geometry in Alexandria.
No peak broadening, texture or thermal motion is included.

Peak list (10 most intense, 2θ from 5° to 70°, sorted by position)
Position (°2θ)  d_spacing  I_rel
15.77  5.621  100
17.41  5.093  85
18.65  4.757  71
26.99  3.303  46
28.48  3.133  60
29.00  3.079  42
35.09  2.557  45
36.94  2.434  30
40.39  2.233  29
43.22  2.093  30

```
16
Lattice="0.000 5.713 11.242 2.690 0.000 11.242 2.690 5.713 0.000" Properties=species:S:1:pos:R:3 pbc="T T T"
K 2.017 4.285 1.379
K 3.362 7.142 7.000
K 2.017 4.285 15.485
K 3.362 7.142 21.106
B 2.017 4.285 8.432
B 3.362 7.142 14.053
Pb 0.672 1.428 2.811
Pb 4.707 9.998 19.674
O 2.885 3.349 7.607
O 2.885 5.221 9.256
O 4.230 6.205 14.877
O 1.150 3.349 9.256
O 4.230 8.078 13.228
O 1.150 5.221 7.607
O 2.495 6.205 13.228
O 2.495 8.078 14.877
```

---

Copy entry 3 word for word.
# CsPrGe2Br8
Theoretical X-ray powder pattern, Cu Ka. Input: the GGA-PBE geometry in Alexandria.
No peak broadening, texture or thermal motion is included.

Peak list (10 most intense, 2θ from 5° to 70°, sorted by position)
Position (°2θ)  d_spacing  I_rel
8.50  10.400  43
16.89  5.248  49
18.81  4.718  33
21.31  4.169  38
21.86  4.065  22
24.58  3.622  31
26.38  3.379  100
32.79  2.731  32
34.18  2.623  41
38.13  2.360  25

```
12
Lattice="6.775 0.000 0.000 -0.777 7.359 0.000 -0.188 -0.805 10.400" Properties=species:S:1:pos:R:3 pbc="T T T"
Cs 0.000 0.000 0.000
Pr -0.094 -0.403 5.200
Ge 2.526 3.780 3.056
Ge 3.285 2.774 7.344
Br 1.390 1.062 3.191
Br 0.970 4.614 4.964
Br 1.221 4.370 1.073
Br 1.615 0.502 7.417
Br 4.196 6.052 2.983
Br 4.590 2.184 9.327
Br 4.841 1.940 5.436
Br 4.420 5.492 7.208
```